(1)
Diffraction record for TmCoGe. The X-ray powder pattern is computed, not measured: it uses a GGA-PBE-relaxed structure and Cu Kα, 1.54184 Å.
Neutral-atom scattering factors, no anomalous dispersion.

Cell and atoms:
a b c (Å): 6.777 4.190 7.198
angles (deg): 90.00 90.00 90.00
Space group Pnma (No. 62)
Unique sites:
Tm  0.006  0.250  0.198 [4 per cell]
Co  0.159  0.750  0.431 [4 per cell]
Ge  0.203  0.250  0.601 [4 per cell]

Top 8 peaks for 10 to 90 degrees two-theta, by angle:
| Position (°2θ) | I_rel | (hkl) |
| --- | --- | --- |
| 24.6 | 24 | 0 1 1 |
| 35.4 | 55 | 1 1 2 |
| 36.3 | 100 | 2 1 1 |
| 36.4 | 33 | 2 0 2 |
| 43.2 | 34 | 0 2 0 |
| 43.5 | 35 | 0 1 3 |
| 60.3 | 19 | 4 1 1 |
| 70.6 | 22 | 3 1 4 |

(2)
Diffraction record for K3SbS4. The X-ray powder pattern is computed, not measured: it uses a GGA-PBE-relaxed structure and Cu Kα, 1.54184 Å.
Neutral-atom scattering factors, no anomalous dispersion.

Cell and atoms:
a b c (Å): 7.871 7.871 7.871
angles (deg): 90.00 90.00 90.00
Space group I-43m (No. 217)
Unique sites:
K  0.000  0.000  0.500 [6 per cell]
Sb  0.000  0.000  0.000 [2 per cell]
S  0.174  0.174  0.826 [8 per cell]

Top 8 peaks for 10 to 90 degrees two-theta, by angle:
| Position (°2θ) | I_rel | (hkl) |
| --- | --- | --- |
| 15.9 | 79 | 1 1 0 |
| 22.6 | 40 | 2 0 0 |
| 27.8 | 41 | 2 1 1 |
| 32.2 | 100 | 2 2 0 |
| 43.0 | 29 | 3 2 1 |
| 49.1 | 25 | 3 3 0 |
| 52.0 | 40 | 4 2 0 |
| 57.3 | 24 | 4 2 2 |